Calculated powder XRD pattern
Compound: Pu2Cu3Au
Radiation: λ = 1.5418 Å (Cu Kα)
Structure: a crystal structure in Alexandria, relaxed with GGA-PBE
No peak broadening, texture or thermal motion is included.

Peak list (10 most intense, 2θ from 10° to 90°, in order of falling intensity)
| 2θ/deg | intensity |
| --- | --- |
| 39.35 | 100 |
| 33.41 | 68 |
| 63.70 | 20 |
| 20.22 | 17 |
| 59.75 | 17 |
| 63.77 | 16 |
| 41.24 | 14 |
| 70.02 | 13 |
| 70.25 | 13 |
| 39.42 | 11 |

Crystal structure
```
data_Pu2Cu3Au
_space_group_name_H-M_alt 'P 1'
_space_group_IT_number 1
_space_group_name_Hall 'P 1'
_cell_length_a 5.3749
_cell_length_b 5.3749
_cell_length_c 5.3749
_cell_angle_alpha 59.81
_cell_angle_beta 59.81
_cell_angle_gamma 59.81
loop_
_atom_site_label
_atom_site_type_symbol
_atom_site_fract_x
_atom_site_fract_y
_atom_site_fract_z
Pu1 Pu 0.1232 0.1232 0.1232
Pu2 Pu 0.8768 0.8768 0.8768
Cu1 Cu 0.0000 0.5000 0.5000
Cu2 Cu 0.5000 0.0000 0.5000
Cu3 Cu 0.5000 0.5000 0.0000
Au1 Au 0.5000 0.5000 0.5000
```